Starting from a cell relaxed with GGA+U, the XRD peak list of U2Co3O8 was simulated for Cu Kα (λ = 1.5418 Å).
No peak broadening, texture or thermal motion is included.

Structure:
a = 6.818 Å, b = 5.735 Å, c = 10.757 Å
α = 90.00°, β = 90.00°, γ = 90.00°
Element x y z (fractional)
1 U 0.000 0.020 0.000
2 U 0.000 0.780 0.550
3 U 0.500 0.220 0.050
4 U 0.500 0.980 0.500
5 Co 0.000 0.474 0.853
6 Co 0.192 0.969 0.300
7 Co 0.308 0.031 0.800
8 Co 0.500 0.526 0.353
9 Co 0.692 0.031 0.800
10 Co 0.808 0.969 0.300
11 O 0.000 0.067 0.431
12 O 0.000 0.524 0.672
13 O 0.000 0.678 0.000
14 O 0.000 0.968 0.813
15 O 0.230 0.056 0.132
16 O 0.234 0.291 0.922
17 O 0.266 0.709 0.422
18 O 0.270 0.944 0.632
19 O 0.500 0.032 0.313
20 O 0.500 0.322 0.500
21 O 0.500 0.476 0.172
22 O 0.500 0.933 0.931
23 O 0.730 0.944 0.632
24 O 0.734 0.709 0.422
25 O 0.766 0.291 0.922
26 O 0.770 0.056 0.132

Main lines, sorted by position (2θ = 5–70°):
- 15.4 deg, d = 5.739 Å, I 904
- 16.5 deg, d = 5.379 Å, I 476
- 17.5 deg, d = 5.061 Å, I 641
- 20.2 deg, d = 4.389 Å, I 254
- 21.9 deg, d = 4.064 Å, I 247
- 26.2 deg, d = 3.405 Å, I 594
- 31.1 deg, d = 2.879 Å, I 487
- 32.2 deg, d = 2.776 Å, I 280
- 34.9 deg, d = 2.570 Å, I 1000
- 52.0 deg, d = 1.757 Å, I 243


Starting from a cell relaxed with GGA+U, the XRD peak list of TiMnCrP3O12 was simulated for Cu Kα (λ = 1.5418 Å).
No peak broadening, texture or thermal motion is included.

Structure:
a = 8.644 Å, b = 8.644 Å, c = 8.644 Å
α = 59.81°, β = 59.81°, γ = 59.81°
Element x y z (fractional)
1 Ti 0.000 0.000 0.000
2 Ti 0.500 0.500 0.500
3 Mn 0.354 0.354 0.354
4 Mn 0.854 0.854 0.854
5 Cr 0.212 0.212 0.212
6 Cr 0.712 0.712 0.712
7 P 0.105 0.815 0.398
8 P 0.315 0.605 0.898
9 P 0.398 0.105 0.815
10 P 0.605 0.898 0.315
11 P 0.815 0.398 0.105
12 P 0.898 0.315 0.605
13 O 0.048 0.855 0.233
14 O 0.090 0.296 0.440
15 O 0.119 0.770 0.912
16 O 0.161 0.972 0.361
17 O 0.233 0.048 0.855
18 O 0.270 0.619 0.412
19 O 0.296 0.440 0.090
20 O 0.355 0.548 0.733
21 O 0.361 0.161 0.972
22 O 0.412 0.270 0.619
23 O 0.440 0.090 0.296
24 O 0.472 0.661 0.861
25 O 0.548 0.733 0.355
26 O 0.590 0.940 0.796
27 O 0.619 0.412 0.270
28 O 0.661 0.861 0.472
29 O 0.733 0.355 0.548
30 O 0.770 0.912 0.119
31 O 0.796 0.590 0.940
32 O 0.855 0.233 0.048
33 O 0.861 0.472 0.661
34 O 0.912 0.119 0.770
35 O 0.940 0.796 0.590
36 O 0.972 0.361 0.161

Main lines, sorted by position (2θ = 5–70°):
- 20.6 deg, d = 4.310 Å, I 767
- 24.2 deg, d = 3.679 Å, I 1000
- 25.3 deg, d = 3.520 Å, I 153
- 32.0 deg, d = 2.796 Å, I 162
- 32.8 deg, d = 2.732 Å, I 703
- 36.1 deg, d = 2.488 Å, I 311
- 47.0 deg, d = 1.932 Å, I 274
- 49.6 deg, d = 1.840 Å, I 252
- 56.5 deg, d = 1.629 Å, I 197
- 62.8 deg, d = 1.479 Å, I 170


Starting from a cell relaxed with GGA+U, the XRD peak list of Li2VSi6O15 was simulated for Cu Kα (λ = 1.5418 Å).
No peak broadening, texture or thermal motion is included.

Structure:
a = 6.848 Å, b = 7.337 Å, c = 7.424 Å
α = 95.39°, β = 112.17°, γ = 113.60°
Element x y z (fractional)
1 Li 0.237 0.183 0.140
2 Li 0.763 0.817 0.860
3 V 0.500 0.000 0.000
4 Si 0.158 0.812 0.224
5 Si 0.217 0.505 0.697
6 Si 0.370 0.175 0.601
7 Si 0.630 0.825 0.399
8 Si 0.783 0.495 0.303
9 Si 0.842 0.188 0.776
10 O 0.000 0.500 0.500
11 O 0.107 0.379 0.839
12 O 0.180 0.878 0.028
13 O 0.194 0.025 0.366
14 O 0.325 0.375 0.612
15 O 0.336 0.054 0.767
16 O 0.353 0.743 0.360
17 O 0.437 0.733 0.832
18 O 0.563 0.267 0.168
19 O 0.647 0.257 0.640
20 O 0.664 0.946 0.233
21 O 0.675 0.625 0.388
22 O 0.806 0.975 0.634
23 O 0.820 0.122 0.972
24 O 0.893 0.621 0.161

Main lines, sorted by position (2θ = 5–70°):
- 13.8 deg, d = 6.437 Å, I 253
- 15.3 deg, d = 5.786 Å, I 428
- 21.9 deg, d = 4.054 Å, I 797
- 22.5 deg, d = 3.951 Å, I 702
- 26.3 deg, d = 3.392 Å, I 190
- 26.6 deg, d = 3.348 Å, I 271
- 27.9 deg, d = 3.194 Å, I 580
- 28.5 deg, d = 3.137 Å, I 1000
- 36.5 deg, d = 2.462 Å, I 179
- 49.5 deg, d = 1.842 Å, I 219


Starting from a cell relaxed with GGA+U, the XRD peak list of MgCr2Sb4O12 was simulated for Cu Kα (λ = 1.5418 Å).
No peak broadening, texture or thermal motion is included.

Structure:
a = 5.015 Å, b = 9.598 Å, c = 5.019 Å
α = 90.00°, β = 90.96°, γ = 90.00°
Element x y z (fractional)
1 Mg 0.000 0.000 0.000
2 Cr 0.000 0.504 0.500
3 Cr 0.500 0.016 0.000
4 Sb 0.000 0.178 0.500
5 Sb 0.000 0.820 0.500
6 Sb 0.500 0.351 0.000
7 Sb 0.500 0.678 0.000
8 O 0.191 0.342 0.665
9 O 0.218 0.663 0.691
10 O 0.228 0.026 0.690
11 O 0.243 0.148 0.183
12 O 0.288 0.847 0.140
13 O 0.300 0.522 0.186
14 O 0.700 0.522 0.814
15 O 0.712 0.847 0.860
16 O 0.757 0.148 0.817
17 O 0.772 0.026 0.310
18 O 0.782 0.663 0.309
19 O 0.809 0.342 0.335

Main lines, sorted by position (2θ = 5–70°):
- 20.0 deg, d = 4.445 Å, I 192
- 24.9 deg, d = 3.577 Å, I 693
- 25.3 deg, d = 3.518 Å, I 649
- 33.2 deg, d = 2.697 Å, I 1000
- 35.8 deg, d = 2.508 Å, I 341
- 49.4 deg, d = 1.845 Å, I 458
- 49.9 deg, d = 1.829 Å, I 456
- 51.1 deg, d = 1.788 Å, I 138
- 52.0 deg, d = 1.759 Å, I 125
- 62.7 deg, d = 1.482 Å, I 273


- What is the formula in the second record?
  TiMnCrP3O12


- Number 2 is which compound?
  TiMnCrP3O12